Entry 1:
Na3RhF: simulated powder X-ray diffraction pattern (λ = 1.5418 Å (Cu Kα)), based on a GGA-PBE-relaxed structure.
Lines closer than 0.1° are merged.

```
data_Na3RhF
_chemical_formula_sum 'Na3 Rh1 F1'
_symmetry_space_group_name_H-M 'P m -3 m'
_symmetry_Int_Tables_number 221
_symmetry_space_group_name_Hall '-P 4 2 3'
_cell_length_a 4.5792
_cell_length_b 4.5792
_cell_length_c 4.5792
_cell_angle_alpha 90.00
_cell_angle_beta 90.00
_cell_angle_gamma 90.00
loop_
_atom_site_label
_atom_site_type_symbol
_atom_site_fract_x
_atom_site_fract_y
_atom_site_fract_z
_atom_site_occupancy
Na1 Na 0.0000 0.0000 0.5000 1
Rh1 Rh 0.5000 0.5000 0.5000 1
F1 F 0.0000 0.0000 0.0000 1
```

Most intense lines, 2θ = 15–90°, low angle first:
- 2θ = 19.38°, I = 42
- 2θ = 27.55°, I = 100
- 2θ = 33.91°, I = 94
- 2θ = 39.35°, I = 72
- 2θ = 48.71°, I = 39
- 2θ = 56.87°, I = 46

=====

Entry 2:
NaCaInBr6: simulated powder X-ray diffraction pattern (λ = 1.5418 Å (Cu Kα)), based on a GGA-PBE-relaxed structure.
Lines closer than 0.1° are merged.

```
data_NaCaInBr6
_chemical_formula_sum 'Na2 Ca2 In2 Br12'
_symmetry_space_group_name_H-M 'P -3 1 c'
_symmetry_Int_Tables_number 163
_symmetry_space_group_name_Hall '-P 3 2c'
_cell_length_a 7.2222
_cell_length_b 7.2222
_cell_length_c 13.2251
_cell_angle_alpha 90.00
_cell_angle_beta 90.00
_cell_angle_gamma 120.00
loop_
_atom_site_label
_atom_site_type_symbol
_atom_site_fract_x
_atom_site_fract_y
_atom_site_fract_z
_atom_site_occupancy
Na1 Na 0.0000 0.0000 0.0000 1
Ca1 Ca 0.3333 0.6667 0.2500 1
In1 In 0.3333 0.6667 0.7500 1
Br1 Br 0.0198 0.3646 0.6304 1
```

Most intense lines, 2θ = 15–90°, low angle first:
- 2θ = 15.67°, I = 16
- 2θ = 19.54°, I = 15
- 2θ = 28.16°, I = 100
- 2θ = 36.86°, I = 47
- 2θ = 43.41°, I = 36
- 2θ = 48.38°, I = 23

=====

Entry 3:
KNa3Au3: simulated powder X-ray diffraction pattern (λ = 1.5418 Å (Cu Kα)), based on a GGA-PBE-relaxed structure.
Lines closer than 0.1° are merged.

```
data_KNa3Au3
_chemical_formula_sum 'K2 Na6 Au6'
_symmetry_space_group_name_H-M 'P m -3 n'
_symmetry_Int_Tables_number 223
_symmetry_space_group_name_Hall '-P 4n 2 3'
_cell_length_a 8.0720
_cell_length_b 8.0720
_cell_length_c 8.0720
_cell_angle_alpha 90.00
_cell_angle_beta 90.00
_cell_angle_gamma 90.00
loop_
_atom_site_label
_atom_site_type_symbol
_atom_site_fract_x
_atom_site_fract_y
_atom_site_fract_z
_atom_site_occupancy
K1 K 0.0000 0.0000 0.0000 1
Na1 Na 0.0000 0.2500 0.5000 1
Au1 Au 0.0000 0.5000 0.2500 1
```

Most intense lines, 2θ = 15–90°, low angle first:
- 2θ = 15.52°, I = 39
- 2θ = 24.66°, I = 100
- 2θ = 27.06°, I = 47
- 2θ = 38.64°, I = 35
- 2θ = 40.28°, I = 29
- 2θ = 41.87°, I = 29

=====

Entry 4:
Ce2P2S7: simulated powder X-ray diffraction pattern (λ = 1.5418 Å (Cu Kα)), based on a GGA-PBE-relaxed structure.
Lines closer than 0.1° are merged.

```
data_Ce2P2S7
_chemical_formula_sum 'Ce4 P4 S14'
_symmetry_space_group_name_H-M 'C 1 2/m 1'
_symmetry_Int_Tables_number 12
_symmetry_space_group_name_Hall '-C 2y'
_cell_length_a 9.7083
_cell_length_b 10.0923
_cell_length_c 5.6351
_cell_angle_alpha 90.00
_cell_angle_beta 100.95
_cell_angle_gamma 90.00
loop_
_atom_site_label
_atom_site_type_symbol
_atom_site_fract_x
_atom_site_fract_y
_atom_site_fract_z
_atom_site_occupancy
Ce1 Ce 0.0000 0.2289 0.0000 1
P1 P 0.2345 0.5000 0.4370 1
S1 S 0.0000 0.5000 0.5000 1
S2 S 0.0930 0.0000 0.2709 1
S3 S 0.2373 0.1675 0.7702 1
```

Most intense lines, 2θ = 15–90°, low angle first:
- 2θ = 16.02°, I = 31
- 2θ = 22.19°, I = 44
- 2θ = 23.87°, I = 100
- 2θ = 32.33°, I = 36
- 2θ = 38.75°, I = 29
- 2θ = 42.33°, I = 34

=====

Entry 5:
Sr2SbIO3: simulated powder X-ray diffraction pattern (λ = 1.5418 Å (Cu Kα)), based on a GGA-PBE-relaxed structure.
Lines closer than 0.1° are merged.

```
data_Sr2SbIO3
_chemical_formula_sum 'Sr12 Sb6 I6 O18'
_symmetry_space_group_name_H-M 'R -3 m'
_symmetry_Int_Tables_number 166
_symmetry_space_group_name_Hall '-R 3 2"'
_cell_length_a 7.2450
_cell_length_b 7.2450
_cell_length_c 20.9368
_cell_angle_alpha 90.00
_cell_angle_beta 90.00
_cell_angle_gamma 120.00
loop_
_atom_site_label
_atom_site_type_symbol
_atom_site_fract_x
_atom_site_fract_y
_atom_site_fract_z
_atom_site_occupancy
Sr1 Sr 0.0000 0.0000 0.0000 1
Sr2 Sr 0.0000 0.5000 0.5000 1
Sb1 Sb 0.0000 0.0000 0.4306 1
I1 I 0.0000 0.0000 0.2846 1
O1 O 0.0081 0.5040 0.7655 1
```

Most intense lines, 2θ = 15–90°, low angle first:
- 2θ = 24.57°, I = 96
- 2θ = 28.78°, I = 60
- 2θ = 33.18°, I = 100
- 2θ = 33.30°, I = 68
- 2θ = 49.02°, I = 66
- 2θ = 50.38°, I = 56

=====

Entry 6:
Cs4IrO4: simulated powder X-ray diffraction pattern (λ = 1.5418 Å (Cu Kα)), based on a GGA-PBE-relaxed structure.
Lines closer than 0.1° are merged.

```
data_Cs4IrO4
_chemical_formula_sum 'Cs8 Ir2 O8'
_symmetry_space_group_name_H-M 'I 4/m'
_symmetry_Int_Tables_number 87
_symmetry_space_group_name_Hall '-I 4'
_cell_length_a 8.8670
_cell_length_b 8.8670
_cell_length_c 5.9871
_cell_angle_alpha 90.00
_cell_angle_beta 90.00
_cell_angle_gamma 90.00
loop_
_atom_site_label
_atom_site_type_symbol
_atom_site_fract_x
_atom_site_fract_y
_atom_site_fract_z
_atom_site_occupancy
Cs1 Cs 0.1116 0.2937 0.0000 1
Ir1 Ir 0.0000 0.0000 0.5000 1
O1 O 0.0638 0.2101 0.5000 1
```

Most intense lines, 2θ = 15–90°, low angle first:
- 2θ = 26.97°, I = 100
- 2θ = 29.85°, I = 26
- 2θ = 31.92°, I = 38
- 2θ = 44.26°, I = 30
- 2θ = 51.25°, I = 17
- 2θ = 53.92°, I = 33

=====

Entry 7:
Tb8CoRu2: simulated powder X-ray diffraction pattern (λ = 1.5418 Å (Cu Kα)), based on a GGA-PBE-relaxed structure.
Lines closer than 0.1° are merged.

```
data_Tb8CoRu2
_chemical_formula_sum 'Tb16 Co2 Ru4'
_symmetry_space_group_name_H-M 'C 1 m 1'
_symmetry_Int_Tables_number 8
_symmetry_space_group_name_Hall 'C -2y'
_cell_length_a 8.2537
_cell_length_b 12.5695
_cell_length_c 6.0378
_cell_angle_alpha 90.00
_cell_angle_beta 111.22
_cell_angle_gamma 90.00
loop_
_atom_site_label
_atom_site_type_symbol
_atom_site_fract_x
_atom_site_fract_y
_atom_site_fract_z
_atom_site_occupancy
Tb1 Tb 0.0000 0.0000 0.0000 1
Tb2 Tb 0.0734 0.3687 0.7907 1
Tb3 Tb 0.1495 0.1292 0.5826 1
Tb4 Tb 0.2090 0.5000 0.3823 1
Tb5 Tb 0.3542 0.2039 0.1981 1
Co1 Co 0.3503 0.0000 0.3622 1
Ru1 Ru 0.3597 0.3103 0.6778 1
```

Most intense lines, 2θ = 15–90°, low angle first:
- 2θ = 30.45°, I = 57
- 2θ = 31.26°, I = 83
- 2θ = 32.62°, I = 100
- 2θ = 33.50°, I = 58
- 2θ = 34.97°, I = 64
- 2θ = 39.28°, I = 78

=====

Entry 8:
La3TbPm4S8: simulated powder X-ray diffraction pattern (λ = 1.5418 Å (Cu Kα)), based on a GGA-PBE-relaxed structure.
Lines closer than 0.1° are merged.

```
data_La3TbPm4S8
_chemical_formula_sum 'La9 Tb3 Pm12 S24'
_symmetry_space_group_name_H-M 'R -3 m'
_symmetry_Int_Tables_number 166
_symmetry_space_group_name_Hall '-R 3 2"'
_cell_length_a 8.1421
_cell_length_b 8.1421
_cell_length_c 19.8969
_cell_angle_alpha 90.00
_cell_angle_beta 90.00
_cell_angle_gamma 120.00
loop_
_atom_site_label
_atom_site_type_symbol
_atom_site_fract_x
_atom_site_fract_y
_atom_site_fract_z
_atom_site_occupancy
La1 La 0.0000 0.5000 0.0000 1
Tb1 Tb 0.0000 0.0000 0.0000 1
Pm1 Pm 0.0000 0.0000 0.5000 1
Pm2 Pm 0.0000 0.5000 0.5000 1
S1 S 0.0000 0.0000 0.2472 1
S2 S 0.0087 0.5043 0.7505 1
```

Most intense lines, 2θ = 15–90°, low angle first:
- 2θ = 26.84°, I = 74
- 2θ = 31.09°, I = 100
- 2θ = 44.55°, I = 72
- 2θ = 52.78°, I = 37
- 2θ = 55.29°, I = 19
- 2θ = 82.02°, I = 18